Record 1
Diffraction record for V2Ge2O7. The powder diffraction line list is computed, not measured: it uses a structure optimized by DFT (GGA+U) and copper Kα.

Most intense lines, 2θ from 10° to 80°, sorted by position:
| index | 2θ (°) | intensity |
| --- | --- | --- |
| 1 1 -1 | 16.72 | 21 |
| 0 2 0 | 21.13 | 28 |
| 2 0 -2 | 26.09 | 93 |
| 1 1 2 | 28.29 | 84 |
| 0 2 2 | 28.41 | 100 |
| 1 1 -3 | 28.80 | 16 |
| 2 2 0 | 33.47 | 25 |
| 2 2 -2 | 33.82 | 21 |
| 3 1 0 | 40.40 | 20 |
| 2 2 -4 | 43.85 | 25 |
| 0 4 2 | 47.33 | 15 |
| 1 3 4 | 55.83 | 31 |

Atomic structure:
```
data_V2Ge2O7
_cell_length_a 7.398
_cell_length_b 8.407
_cell_length_c 10.073
_cell_angle_alpha 90.00
_cell_angle_beta 110.11
_cell_angle_gamma 90.00
_space_group_name_H-M_alt 'C 1 2/c 1'
_space_group_IT_number 15
loop_
_space_group_symop_operation_xyz
'x,y,z'
'-x,-y,-z'
'-x,y,-z+1/2'
'x,-y,z+1/2'
'x+1/2,y+1/2,z'
'-x+1/2,-y+1/2,-z'
'-x+1/2,y+1/2,-z+1/2'
'x+1/2,-y+1/2,z+1/2'
loop_
_atom_site_label
_atom_site_type_symbol
_atom_site_fract_x
_atom_site_fract_y
_atom_site_fract_z
V1 V 0.052 0.174 0.479
Ge1 Ge 0.193 0.499 0.706
O1 O 0.000 0.418 0.750
O2 O 0.104 0.019 0.635
O3 O 0.145 0.322 0.114
O4 O 0.245 0.346 0.600
```

Record 2
Diffraction record for Nd2W2O9. The powder diffraction line list is computed, not measured: it uses a structure optimized by DFT (GGA+U) and copper Kα.

Most intense lines, 2θ from 10° to 80°, sorted by position:
| index | 2θ (°) | intensity |
| --- | --- | --- |
| 1 0 2 | 26.24 | 100 |
| 1 2 -2 | 26.74 | 83 |
| 2 1 -2 | 27.65 | 71 |
| 1 3 0 | 29.36 | 53 |
| 2 2 0 | 29.98 | 57 |
| 0 3 2 | 33.56 | 27 |
| 3 1 0 | 37.45 | 24 |
| 0 2 4 | 44.46 | 20 |
| 1 4 2 | 45.02 | 25 |
| 2 3 2 | 45.30 | 32 |
| 3 2 2 | 50.71 | 16 |
| 3 5 0 | 59.40 | 20 |

Atomic structure:
```
data_Nd2W2O9
_cell_length_a 7.791
_cell_length_b 10.004
_cell_length_c 9.368
_cell_angle_alpha 90.00
_cell_angle_beta 107.71
_cell_angle_gamma 90.00
_space_group_name_H-M_alt 'P 1 21/c 1'
_space_group_IT_number 14
loop_
_space_group_symop_operation_xyz
'x,y,z'
'-x,-y,-z'
'-x,y+1/2,-z+1/2'
'x,-y+1/2,z+1/2'
loop_
_atom_site_label
_atom_site_type_symbol
_atom_site_fract_x
_atom_site_fract_y
_atom_site_fract_z
Nd1 Nd 0.213 0.051 0.425
Nd2 Nd 0.273 0.055 0.848
W1 W 0.079 0.731 0.466
W2 W 0.428 0.749 0.762
O1 O 0.001 0.598 0.325
O2 O 0.054 0.104 0.609
O3 O 0.090 0.208 0.930
O4 O 0.235 0.634 0.138
O5 O 0.244 0.685 0.861
O6 O 0.275 0.622 0.583
O7 O 0.398 0.218 0.337
O8 O 0.444 0.092 0.654
O9 O 0.494 0.118 0.096
```

Record 3
Diffraction record for KBaEuWO6. The powder diffraction line list is computed, not measured: it uses a structure optimized by DFT (GGA+U) and copper Kα.

Most intense lines, 2θ from 10° to 80°, sorted by position:
| index | 2θ (°) | intensity |
| --- | --- | --- |
| 1 1 0 | 14.69 | 7 |
| 2 0 0 | 20.82 | 20 |
| 1 1 2 | 25.55 | 3 |
| 2 2 0 | 29.61 | 100 |
| 0 0 4 | 42.34 | 19 |
| 4 0 0 | 42.42 | 10 |
| 2 4 0 | 47.66 | 9 |
| 2 4 2 | 52.54 | 41 |
| 4 0 4 | 61.47 | 18 |
| 2 6 0 | 69.65 | 12 |
| 6 0 2 | 69.77 | 6 |
| 4 4 4 | 77.50 | 6 |

Atomic structure:
```
data_KBaEuWO6
_cell_length_a 8.524
_cell_length_b 8.534
_cell_length_c 8.543
_cell_angle_alpha 90.00
_cell_angle_beta 90.00
_cell_angle_gamma 90.00
_space_group_name_H-M_alt 'P n n n'
_space_group_IT_number 48
loop_
_space_group_symop_operation_xyz
'x,y,z'
'-x,-y,-z'
'-x+1/2,-y+1/2,z'
'x+1/2,y+1/2,-z'
'x,-y+1/2,-z+1/2'
'-x,y+1/2,z+1/2'
'-x+1/2,y,-z+1/2'
'x+1/2,-y,z+1/2'
loop_
_atom_site_label
_atom_site_type_symbol
_atom_site_fract_x
_atom_site_fract_y
_atom_site_fract_z
K1 K 0.250 0.250 0.250
K2 K 0.250 0.250 0.750
Ba1 Ba 0.250 0.750 0.250
Ba2 Ba 0.250 0.750 0.750
Eu1 Eu 0.000 0.000 0.000
W1 W 0.000 0.000 0.500
O1 O 0.013 0.227 0.478
O2 O 0.020 0.019 0.727
O3 O 0.228 0.526 0.018
```

Record 4
Diffraction record for PrMo6O12. The powder diffraction line list is computed, not measured: it uses a structure optimized by DFT (GGA+U) and copper Kα.

Most intense lines, 2θ from 10° to 80°, sorted by position:
| index | 2θ (°) | intensity |
| --- | --- | --- |
| 2 0 0 | 17.56 | 43 |
| 1 1 2 | 23.87 | 16 |
| 2 2 0 | 24.94 | 34 |
| 3 1 0 | 27.94 | 100 |
| 2 1 3 | 36.70 | 88 |
| 4 2 0 | 39.92 | 16 |
| 3 0 3 | 40.96 | 14 |
| 1 4 3 | 48.55 | 80 |
| 5 3 0 | 52.86 | 30 |
| 6 0 0 | 54.52 | 26 |
| 5 2 3 | 58.53 | 17 |
| 4 5 3 | 67.53 | 26 |

Atomic structure:
```
data_PrMo6O12
_cell_length_a 10.099
_cell_length_b 10.099
_cell_length_c 8.743
_cell_angle_alpha 90.00
_cell_angle_beta 90.00
_cell_angle_gamma 90.00
_space_group_name_H-M_alt 'I 4/m'
_space_group_IT_number 87
_space_group_name_Hall '-I 4'
loop_
_atom_site_label
_atom_site_type_symbol
_atom_site_fract_x
_atom_site_fract_y
_atom_site_fract_z
Pr1 Pr 0.000 0.000 0.207
Mo1 Mo 0.162 0.686 0.159
Mo2 Mo 0.163 0.684 0.500
O1 O 0.039 0.336 0.500
O2 O 0.043 0.331 0.167
O3 O 0.124 0.843 0.000
O4 O 0.127 0.829 0.335
```

Record 5
Diffraction record for MnOF. The powder diffraction line list is computed, not measured: it uses a structure optimized by DFT (GGA+U) and copper Kα.

Most intense lines, 2θ from 10° to 80°, sorted by position:
| index | 2θ (°) | intensity |
| --- | --- | --- |
| 0 2 0 | 27.22 | 100 |
| 1 1 4 | 34.28 | 62 |
| 2 2 0 | 38.87 | 6 |
| 2 0 4 | 39.56 | 23 |
| 1 3 4 | 52.76 | 44 |
| 3 1 4 | 52.85 | 14 |
| 0 4 0 | 56.05 | 9 |
| 4 0 0 | 56.24 | 8 |
| 0 0 8 | 58.22 | 13 |
| 0 2 8 | 65.39 | 7 |
| 2 0 8 | 65.44 | 8 |
| 3 3 4 | 67.46 | 18 |

Atomic structure:
```
data_MnOF
_cell_length_a 6.542
_cell_length_b 6.563
_cell_length_c 12.679
_cell_angle_alpha 90.00
_cell_angle_beta 90.04
_cell_angle_gamma 90.00
_space_group_name_H-M_alt 'C 1 2 1'
_space_group_IT_number 5
loop_
_space_group_symop_operation_xyz
'x,y,z'
'-x,y,-z'
'x+1/2,y+1/2,z'
'-x+1/2,y+1/2,-z'
loop_
_atom_site_label
_atom_site_type_symbol
_atom_site_fract_x
_atom_site_fract_y
_atom_site_fract_z
Mn1 Mn 0.000 0.000 0.000
Mn2 Mn 0.000 0.047 0.500
Mn3 Mn 0.001 0.995 0.749
Mn4 Mn 0.029 0.520 0.624
Mn5 Mn 0.029 0.533 0.125
O1 O 0.000 0.341 0.500
O2 O 0.000 0.702 0.253
O3 O 0.000 0.705 0.000
O4 O 0.176 0.023 0.375
O5 O 0.181 0.006 0.875
F1 F 0.000 0.308 0.000
F2 F 0.000 0.743 0.500
F3 F 0.002 0.303 0.242
F4 F 0.224 0.020 0.626
F5 F 0.225 0.010 0.125
```

Record 6
Diffraction record for CrH8N2O4. The powder diffraction line list is computed, not measured: it uses a structure optimized by DFT (GGA+U) and copper Kα.

Most intense lines, 2θ from 10° to 80°, sorted by position:
| index | 2θ (°) | intensity |
| --- | --- | --- |
| 2 0 -1 | 15.55 | 35 |
| 2 0 0 | 15.91 | 19 |
| 1 1 0 | 16.04 | 33 |
| 1 1 -1 | 18.25 | 100 |
| 1 1 1 | 22.55 | 37 |
| 2 0 -2 | 23.64 | 31 |
| 2 0 1 | 24.35 | 27 |
| 0 0 2 | 25.57 | 39 |
| 3 1 0 | 27.81 | 67 |
| 0 2 0 | 28.04 | 45 |
| 3 1 -2 | 30.11 | 35 |
| 0 2 2 | 38.31 | 46 |

Atomic structure:
```
data_CrH8N2O4
_cell_length_a 12.326
_cell_length_b 6.365
_cell_length_c 7.706
_cell_angle_alpha 90.00
_cell_angle_beta 115.29
_cell_angle_gamma 90.00
_space_group_name_H-M_alt 'C 1 2/m 1'
_space_group_IT_number 12
loop_
_space_group_symop_operation_xyz
'x,y,z'
'-x,-y,-z'
'-x,y,-z'
'x,-y,z'
'x+1/2,y+1/2,z'
'-x+1/2,-y+1/2,-z'
'-x+1/2,y+1/2,-z'
'x+1/2,-y+1/2,z'
loop_
_atom_site_label
_atom_site_type_symbol
_atom_site_fract_x
_atom_site_fract_y
_atom_site_fract_z
Cr1 Cr 0.173 0.000 0.214
H1 H 0.026 0.368 0.180
H2 H 0.062 0.500 0.735
H3 H 0.081 0.000 0.751
H4 H 0.088 0.500 0.393
H5 H 0.141 0.000 0.591
H6 H 0.212 0.130 0.804
N1 N 0.019 0.500 0.254
N2 N 0.161 0.000 0.737
O1 O 0.091 0.000 0.340
O2 O 0.141 0.215 0.078
O3 O 0.180 0.500 0.641
```